This entry pairs a crystal structure of Rb3Ce3AgO8 with its theoretical powder X-ray diffraction pattern. Radiation: Cu Ka. Structure: a GGA-PBE-relaxed structure.

Structural model:
abc: 7.1631 7.1631 19.5235
angles: 90.00 90.00 120.00
Space group R-3m (No. 166, hexagonal axes)
Asymmetric unit:
1 Rb 0.0000 0.5000 0.0000 x9
2 Ce 0.0000 0.5000 0.5000 x9
3 Ag 0.0000 0.0000 0.5000 x3
4 O 0.0000 0.0000 0.2273 x6
5 O 0.0360 0.5180 0.7769 x18

The 12 most intense peaks (10° ≤ 2θ ≤ 90°), low angle first:
2θ = 13.61°, d 6.508, I 44.7, (0 0 3)
2θ = 27.41°, d 3.254, I 38.1, (0 0 6)
2θ = 30.23°, d 2.956, I 77.2, (2 0 2)
2θ = 34.25°, d 2.618, I 100.0, (0 2 4)
2θ = 47.40°, d 1.918, I 33.4, (2 0 8)
2θ = 51.00°, d 1.791, I 31.8, (2 2 0)
2θ = 55.63°, d 1.652, I 19.4, (0 2 10)
2θ = 58.86°, d 1.569, I 27.9, (2 2 6)
2θ = 60.44°, d 1.532, I 11.8, (0 4 2)
2θ = 62.88°, d 1.478, I 15.6, (4 0 4)
2θ = 79.61°, d 1.204, I 12.4, (2 2 12)
2θ = 85.11°, d 1.140, I 13.0, (2 4 4)